(1)
Starting from a cell relaxed with PBE, the PXRD pattern of NaZnCdO3 was simulated for Cu Kα (λ = 1.5418 Å).
No peak broadening, texture or thermal motion is included.

Crystal structure
```
data_NaZnCdO3
_chemical_formula_sum 'Na2 Zn2 Cd2 O6'
_cell_length_a 6.4863
_cell_length_b 3.2030
_cell_length_c 9.1178
_cell_angle_alpha 90.00
_cell_angle_beta 91.08
_cell_angle_gamma 90.00
_space_group_name_H-M_alt 'P 1 21/m 1'
_space_group_IT_number 11
_space_group_name_Hall '-P 2yb'
loop_
_atom_site_label
_atom_site_type_symbol
_atom_site_fract_x
_atom_site_fract_y
_atom_site_fract_z
_atom_site_occupancy
Na1 Na 0.1526 0.2500 0.2283 1
Zn1 Zn 0.1564 0.2500 0.5697 1
Cd1 Cd 0.3776 0.7500 0.8645 1
O1 O 0.1683 0.2500 0.7806 1
O2 O 0.1763 0.7500 0.4484 1
O3 O 0.3813 0.7500 0.1199 1
```

Peak list (12 most intense, 15° ≤ 2θ ≤ 90°, by angle)
| 2θ/deg | Rel. int. | index |
| --- | --- | --- |
| 16.63 | 100.0 | 1 0 -1 |
| 29.39 | 20.8 | 0 0 3 |
| 32.78 | 46.1 | 1 1 1 |
| 33.62 | 10.2 | 2 0 -2 |
| 34.22 | 43.2 | 0 1 2 |
| 39.55 | 41.2 | 2 1 0 |
| 43.18 | 21.4 | 3 0 1 |
| 49.69 | 10.7 | 2 1 -3 |
| 51.39 | 10.7 | 1 1 4 |
| 51.84 | 10.7 | 3 1 -1 |
| 57.55 | 16.1 | 0 2 0 |
| 60.37 | 17.6 | 3 1 3 |

(2)
Starting from a cell relaxed with PBE, the PXRD pattern of Na5CdP2 was simulated for Cu Kα (λ = 1.5418 Å).
No peak broadening, texture or thermal motion is included.

Crystal structure
```
data_Na5CdP2
_chemical_formula_sum 'Na10 Cd2 P4'
_cell_length_a 5.0874
_cell_length_b 5.0874
_cell_length_c 17.8103
_cell_angle_alpha 90.00
_cell_angle_beta 90.00
_cell_angle_gamma 120.00
_space_group_name_H-M_alt 'P 63/m m c'
_space_group_IT_number 194
_space_group_name_Hall '-P 6c 2c'
loop_
_atom_site_label
_atom_site_type_symbol
_atom_site_fract_x
_atom_site_fract_y
_atom_site_fract_z
_atom_site_occupancy
Na1 Na 0.0000 0.0000 0.1350 1
Na2 Na 0.3333 0.6667 0.0521 1
Na3 Na 0.3333 0.6667 0.2500 1
Cd1 Cd 0.3333 0.6667 0.7500 1
P1 P 0.3333 0.6667 0.6105 1
```

Peak list (12 most intense, 15° ≤ 2θ ≤ 90°, by angle)
| 2θ/deg | Rel. int. | index |
| --- | --- | --- |
| 20.15 | 28.4 | 1 0 0 |
| 20.77 | 87.7 | 1 0 1 |
| 25.17 | 23.0 | 1 0 3 |
| 28.50 | 35.4 | 1 0 4 |
| 35.28 | 100.0 | 1 1 0 |
| 36.50 | 26.1 | 1 0 6 |
| 36.75 | 18.3 | 1 1 2 |
| 40.96 | 42.4 | 1 0 7 |
| 47.05 | 28.2 | 1 1 6 |
| 54.80 | 20.3 | 1 1 8 |
| 55.15 | 18.6 | 2 0 7 |
| 67.18 | 17.2 | 2 1 7 |

(3)
Starting from a cell relaxed with PBE, the PXRD pattern of Na3Cd5Pb2 was simulated for Cu Kα (λ = 1.5418 Å).
No peak broadening, texture or thermal motion is included.

Crystal structure
```
data_Na3Cd5Pb2
_chemical_formula_sum 'Na12 Cd20 Pb8'
_cell_length_a 11.4865
_cell_length_b 16.4805
_cell_length_c 5.7679
_cell_angle_alpha 90.00
_cell_angle_beta 90.00
_cell_angle_gamma 90.00
_space_group_name_H-M_alt 'I b a m'
_space_group_IT_number 72
_space_group_name_Hall '-I 2 2c'
loop_
_atom_site_label
_atom_site_type_symbol
_atom_site_fract_x
_atom_site_fract_y
_atom_site_fract_z
_atom_site_occupancy
Na1 Na 0.0000 0.0000 0.2500 1
Na2 Na 0.2317 0.3263 0.0000 1
Cd1 Cd 0.0000 0.1822 0.2500 1
Cd2 Cd 0.0000 0.5000 0.2500 1
Cd3 Cd 0.0516 0.3351 0.5000 1
Pb1 Pb 0.2396 0.0561 0.0000 1
```

Peak list (12 most intense, 15° ≤ 2θ ≤ 90°, by angle)
| 2θ/deg | Rel. int. | index |
| --- | --- | --- |
| 18.83 | 95.8 | 2 2 0 |
| 20.32 | 91.9 | 1 2 1 |
| 27.72 | 79.0 | 1 4 1 |
| 31.15 | 75.1 | 4 0 0 |
| 34.81 | 60.4 | 2 0 2 |
| 35.59 | 100.0 | 3 4 1 |
| 36.03 | 80.8 | 1 3 2 |
| 36.25 | 60.6 | 2 6 0 |
| 36.53 | 33.2 | 2 2 2 |
| 37.09 | 27.5 | 1 6 1 |
| 43.82 | 27.3 | 5 2 1 |
| 58.19 | 32.9 | 3 4 3 |

(4)
Starting from a cell relaxed with PBE, the PXRD pattern of Na12CdPb6 was simulated for Cu Kα (λ = 1.5418 Å).
No peak broadening, texture or thermal motion is included.

Crystal structure
```
data_Na12CdPb6
_chemical_formula_sum 'Na36 Cd3 Pb18'
_cell_length_a 11.6889
_cell_length_b 11.6889
_cell_length_c 14.8183
_cell_angle_alpha 90.00
_cell_angle_beta 90.00
_cell_angle_gamma 120.00
_space_group_name_H-M_alt 'R -3'
_space_group_IT_number 148
_space_group_name_Hall '-R 3'
loop_
_atom_site_label
_atom_site_type_symbol
_atom_site_fract_x
_atom_site_fract_y
_atom_site_fract_z
_atom_site_occupancy
Na1 Na 0.0445 0.1923 0.3149 1
Na2 Na 0.0648 0.8357 0.9149 1
Cd1 Cd 0.0000 0.0000 0.5000 1
Pb1 Pb 0.0317 0.4483 0.2076 1
```

Peak list (12 most intense, 15° ≤ 2θ ≤ 90°, by angle)
| 2θ/deg | Rel. int. | index |
| --- | --- | --- |
| 15.16 | 26.4 | 1 1 0 |
| 17.96 | 43.7 | 0 0 3 |
| 21.26 | 45.4 | 2 0 2 |
| 23.58 | 40.2 | 1 1 3 |
| 24.02 | 23.0 | 2 1 1 |
| 32.46 | 100.0 | 1 3 1 |
| 33.68 | 42.3 | 2 1 4 |
| 34.15 | 57.0 | 4 -1 2 |
| 35.09 | 25.1 | 2 0 5 |
| 39.62 | 19.4 | 2 -1 6 |
| 44.95 | 19.2 | 5 -4 3 |
| 55.84 | 20.1 | 5 -4 6 |

(5)
Starting from a cell relaxed with PBE, the PXRD pattern of Na5Cd3Pb3 was simulated for Cu Kα (λ = 1.5418 Å).
No peak broadening, texture or thermal motion is included.

Crystal structure
```
data_Na5Cd3Pb3
_chemical_formula_sum 'Na5 Cd3 Pb3'
_cell_length_a 10.7452
_cell_length_b 10.7452
_cell_length_c 3.3660
_cell_angle_alpha 90.00
_cell_angle_beta 90.00
_cell_angle_gamma 120.00
_space_group_name_H-M_alt 'P -6 2 m'
_space_group_IT_number 189
_space_group_name_Hall 'P -6 -2'
loop_
_atom_site_label
_atom_site_type_symbol
_atom_site_fract_x
_atom_site_fract_y
_atom_site_fract_z
_atom_site_occupancy
Na1 Na 0.0000 0.6936 0.0000 1
Na2 Na 0.3333 0.6667 0.0000 1
Cd1 Cd 0.0000 0.1574 0.5000 1
Pb1 Pb 0.0000 0.3959 0.0000 1
```

Peak list (12 most intense, 15° ≤ 2θ ≤ 90°, by angle)
| 2θ/deg | Rel. int. | index |
| --- | --- | --- |
| 16.50 | 100.0 | 1 1 0 |
| 19.07 | 25.3 | 2 0 0 |
| 28.19 | 33.2 | 1 0 1 |
| 31.36 | 35.5 | 1 1 1 |
| 34.76 | 74.1 | 3 1 0 |
| 36.97 | 48.7 | 2 1 1 |
| 39.51 | 32.6 | 3 0 1 |
| 43.08 | 21.7 | 2 2 1 |
| 50.63 | 19.9 | 3 2 1 |
| 59.29 | 21.2 | 4 2 1 |
| 66.31 | 24.8 | 3 1 2 |
| 72.25 | 17.8 | 6 1 1 |

(6)
Starting from a cell relaxed with PBE, the PXRD pattern of Na7CdPb3 was simulated for Cu Kα (λ = 1.5418 Å).
No peak broadening, texture or thermal motion is included.

Crystal structure
```
data_Na7CdPb3
_chemical_formula_sum 'Na7 Cd1 Pb3'
_cell_length_a 7.4124
_cell_length_b 7.4124
_cell_length_c 7.8329
_cell_angle_alpha 90.00
_cell_angle_beta 90.00
_cell_angle_gamma 120.00
_space_group_name_H-M_alt 'P 3 m 1'
_space_group_IT_number 156
_space_group_name_Hall 'P 3 -2"'
loop_
_atom_site_label
_atom_site_type_symbol
_atom_site_fract_x
_atom_site_fract_y
_atom_site_fract_z
_atom_site_occupancy
Na1 Na 0.0000 0.0000 0.0000 1
Na2 Na 0.1692 0.3384 0.4363 1
Na3 Na 0.5045 0.0090 0.0529 1
Cd1 Cd 0.6667 0.3333 0.3822 1
Pb1 Pb 0.3786 0.1893 0.7192 1
```

Peak list (12 most intense, 15° ≤ 2θ ≤ 90°, by angle)
| 2θ/deg | Rel. int. | index |
| --- | --- | --- |
| 17.87 | 33.3 | 0 1 1 |
| 26.64 | 31.7 | 1 0 2 |
| 27.80 | 25.2 | 2 0 0 |
| 30.09 | 100.0 | 0 2 1 |
| 34.35 | 19.8 | 0 0 3 |
| 36.18 | 64.9 | 2 0 2 |
| 38.86 | 24.1 | 1 2 1 |
| 43.88 | 30.6 | 0 3 1 |
| 44.74 | 16.2 | 2 0 3 |
| 49.17 | 16.8 | 2 2 0 |
| 54.93 | 16.3 | 0 2 4 |
| 61.35 | 15.3 | 2 2 3 |

(7)
Starting from a cell relaxed with PBE, the PXRD pattern of NaCd3Pb3 was simulated for Cu Kα (λ = 1.5418 Å).
No peak broadening, texture or thermal motion is included.

Crystal structure
```
data_NaCd3Pb3
_chemical_formula_sum 'Na2 Cd6 Pb6'
_cell_length_a 9.0364
_cell_length_b 9.0364
_cell_length_c 5.4008
_cell_angle_alpha 90.00
_cell_angle_beta 90.00
_cell_angle_gamma 120.00
_space_group_name_H-M_alt 'P 63/m'
_space_group_IT_number 176
_space_group_name_Hall '-P 6c'
loop_
_atom_site_label
_atom_site_type_symbol
_atom_site_fract_x
_atom_site_fract_y
_atom_site_fract_z
_atom_site_occupancy
Na1 Na 0.3333 0.6667 0.2500 1
Cd1 Cd 0.0462 0.2241 0.2500 1
Pb1 Pb 0.0899 0.4567 0.7500 1
```

Peak list (12 most intense, 15° ≤ 2θ ≤ 90°, by angle)
| 2θ/deg | Rel. int. | index |
| --- | --- | --- |
| 19.98 | 14.1 | 1 0 1 |
| 25.71 | 11.1 | 1 1 1 |
| 30.22 | 28.8 | 2 1 0 |
| 33.18 | 25.7 | 0 0 2 |
| 34.57 | 100.0 | 2 1 1 |
| 45.48 | 19.0 | 2 1 2 |
| 53.67 | 17.0 | 1 4 0 |
| 60.17 | 20.1 | 2 1 3 |
| 64.57 | 19.5 | 1 4 2 |
| 65.43 | 13.5 | 4 2 1 |
| 84.85 | 6.8 | 4 2 3 |
| 89.53 | 11.4 | 3 5 1 |

(8)
Starting from a cell relaxed with PBE, the PXRD pattern of Na2Cd4Pb5 was simulated for Cu Kα (λ = 1.5418 Å).
No peak broadening, texture or thermal motion is included.

Crystal structure
```
data_Na2Cd4Pb5
_chemical_formula_sum 'Na4 Cd8 Pb10'
_cell_length_a 14.1820
_cell_length_b 6.5883
_cell_length_c 9.3895
_cell_angle_alpha 90.00
_cell_angle_beta 131.32
_cell_angle_gamma 90.00
_space_group_name_H-M_alt 'C 1 2/m 1'
_space_group_IT_number 12
_space_group_name_Hall '-C 2y'
loop_
_atom_site_label
_atom_site_type_symbol
_atom_site_fract_x
_atom_site_fract_y
_atom_site_fract_z
_atom_site_occupancy
Na1 Na 0.1811 0.0000 0.1822 1
Cd1 Cd 0.2491 0.5000 0.0800 1
Cd2 Cd 0.2493 0.5000 0.4164 1
Pb1 Pb 0.9999 0.2548 0.3205 1
Pb2 Pb 0.0000 0.5000 0.0000 1
```

Peak list (12 most intense, 15° ≤ 2θ ≤ 90°, by angle)
| 2θ/deg | Rel. int. | index |
| --- | --- | --- |
| 16.44 | 54.6 | 1 1 -1 |
| 16.65 | 50.3 | 2 0 0 |
| 18.90 | 36.0 | 2 0 -2 |
| 29.75 | 100.0 | 4 0 -3 |
| 29.95 | 63.3 | 0 2 1 |
| 31.95 | 98.5 | 2 2 0 |
| 33.66 | 76.6 | 4 0 0 |
| 35.97 | 61.0 | 1 1 -3 |
| 37.38 | 91.2 | 0 2 2 |
| 38.34 | 46.3 | 0 0 3 |
| 59.07 | 29.3 | 6 0 -6 |
| 62.65 | 32.0 | 4 2 2 |

(9)
Starting from a cell relaxed with PBE, the PXRD pattern of NaCd2Pb3 was simulated for Cu Kα (λ = 1.5418 Å).
No peak broadening, texture or thermal motion is included.

Crystal structure
```
data_NaCd2Pb3
_chemical_formula_sum 'Na2 Cd4 Pb6'
_cell_length_a 5.0756
_cell_length_b 13.9980
_cell_length_c 4.6819
_cell_angle_alpha 90.00
_cell_angle_beta 90.00
_cell_angle_gamma 90.00
_space_group_name_H-M_alt 'C m m m'
_space_group_IT_number 65
_space_group_name_Hall '-C 2 2'
loop_
_atom_site_label
_atom_site_type_symbol
_atom_site_fract_x
_atom_site_fract_y
_atom_site_fract_z
_atom_site_occupancy
Na1 Na 0.0000 0.0000 0.0000 1
Cd1 Cd 0.0000 0.3308 0.0000 1
Pb1 Pb 0.0000 0.1682 0.5000 1
Pb2 Pb 0.0000 0.5000 0.5000 1
```

Peak list (12 most intense, 15° ≤ 2θ ≤ 90°, by angle)
| 2θ/deg | Rel. int. | index |
| --- | --- | --- |
| 18.95 | 14.8 | 0 0 1 |
| 25.94 | 14.5 | 1 3 0 |
| 32.32 | 100.0 | 1 3 1 |
| 35.37 | 19.7 | 2 0 0 |
| 38.45 | 15.7 | 0 0 2 |
| 38.59 | 15.5 | 0 6 0 |
| 53.23 | 12.3 | 2 0 2 |
| 53.34 | 12.2 | 2 6 0 |
| 61.58 | 15.9 | 3 3 1 |
| 65.72 | 13.1 | 1 3 3 |
| 65.90 | 12.9 | 1 9 1 |
| 67.66 | 12.2 | 2 6 2 |

(10)
Starting from a cell relaxed with PBE, the PXRD pattern of Na2CdPb was simulated for Cu Kα (λ = 1.5418 Å).
No peak broadening, texture or thermal motion is included.

Crystal structure
```
data_Na2CdPb
_chemical_formula_sum 'Na8 Cd4 Pb4'
_cell_length_a 9.7524
_cell_length_b 8.0430
_cell_length_c 5.9961
_cell_angle_alpha 90.00
_cell_angle_beta 90.00
_cell_angle_gamma 90.00
_space_group_name_H-M_alt 'C m c m'
_space_group_IT_number 63
_space_group_name_Hall '-C 2c 2'
loop_
_atom_site_label
_atom_site_type_symbol
_atom_site_fract_x
_atom_site_fract_y
_atom_site_fract_z
_atom_site_occupancy
Na1 Na 0.1840 0.1632 0.2500 1
Cd1 Cd 0.0000 0.5000 0.0000 1
Pb1 Pb 0.0000 0.1800 0.7500 1
```

Peak list (12 most intense, 15° ≤ 2θ ≤ 90°, by angle)
| 2θ/deg | Rel. int. | index |
| --- | --- | --- |
| 18.19 | 92.0 | 2 0 0 |
| 20.60 | 93.9 | 1 1 1 |
| 32.49 | 38.8 | 2 2 1 |
| 33.23 | 100.0 | 3 1 1 |
| 34.70 | 51.6 | 1 3 0 |
| 36.87 | 19.7 | 4 0 0 |
| 37.41 | 27.2 | 0 2 2 |
| 41.90 | 29.3 | 2 2 2 |
| 42.53 | 16.8 | 3 1 2 |
| 43.77 | 17.6 | 3 3 0 |
| 51.47 | 16.0 | 2 4 1 |
| 53.54 | 15.9 | 4 2 2 |

(11)
Starting from a cell relaxed with PBE, the PXRD pattern of NaCd3Pb5 was simulated for Cu Kα (λ = 1.5418 Å).
No peak broadening, texture or thermal motion is included.

Crystal structure
```
data_NaCd3Pb5
_chemical_formula_sum 'Na4 Cd12 Pb20'
_cell_length_a 11.6869
_cell_length_b 9.1385
_cell_length_c 11.2638
_cell_angle_alpha 90.00
_cell_angle_beta 95.66
_cell_angle_gamma 90.00
_space_group_name_H-M_alt 'C 1 2/m 1'
_space_group_IT_number 12
_space_group_name_Hall '-C 2y'
loop_
_atom_site_label
_atom_site_type_symbol
_atom_site_fract_x
_atom_site_fract_y
_atom_site_fract_z
_atom_site_occupancy
Na1 Na 0.1325 0.0000 0.2850 1
Cd1 Cd 0.0000 0.0000 0.0000 1
Cd2 Cd 0.0000 0.0000 0.5000 1
Cd3 Cd 0.0537 0.5000 0.7430 1
Cd4 Cd 0.1835 0.5000 0.1967 1
Pb1 Pb 0.0000 0.3193 0.0000 1
Pb2 Pb 0.1448 0.5000 0.4708 1
Pb3 Pb 0.1487 0.2048 0.6541 1
Pb4 Pb 0.2386 0.5000 0.9487 1
```

Peak list (12 most intense, 15° ≤ 2θ ≤ 90°, by angle)
| 2θ/deg | Rel. int. | index |
| --- | --- | --- |
| 19.45 | 38.0 | 0 2 0 |
| 20.91 | 40.5 | 2 0 -2 |
| 26.51 | 100.0 | 2 2 1 |
| 28.69 | 69.2 | 2 2 -2 |
| 30.91 | 64.3 | 0 2 3 |
| 31.00 | 36.9 | 4 0 -1 |
| 31.19 | 48.7 | 1 3 -1 |
| 32.57 | 39.4 | 4 0 1 |
| 33.10 | 73.2 | 3 1 -3 |
| 35.07 | 35.9 | 1 1 4 |
| 37.55 | 63.5 | 3 3 0 |
| 44.03 | 38.4 | 1 3 -4 |

(12)
Starting from a cell relaxed with PBE, the PXRD pattern of Na2CdPb2 was simulated for Cu Kα (λ = 1.5418 Å).
No peak broadening, texture or thermal motion is included.

Crystal structure
```
data_Na2CdPb2
_chemical_formula_sum 'Na8 Cd4 Pb8'
_cell_length_a 11.3684
_cell_length_b 5.2191
_cell_length_c 10.7259
_cell_angle_alpha 90.00
_cell_angle_beta 109.47
_cell_angle_gamma 90.00
_space_group_name_H-M_alt 'C 1 2/m 1'
_space_group_IT_number 12
_space_group_name_Hall '-C 2y'
loop_
_atom_site_label
_atom_site_type_symbol
_atom_site_fract_x
_atom_site_fract_y
_atom_site_fract_z
_atom_site_occupancy
Na1 Na 0.0418 0.0000 0.3514 1
Na2 Na 0.1624 0.0000 0.0735 1
Cd1 Cd 0.2245 0.5000 0.3393 1
Pb1 Pb 0.0279 0.5000 0.8645 1
Pb2 Pb 0.1338 0.5000 0.6083 1
```

Peak list (12 most intense, 15° ≤ 2θ ≤ 90°, by angle)
| 2θ/deg | Rel. int. | index |
| --- | --- | --- |
| 18.91 | 100.0 | 1 1 0 |
| 21.19 | 36.3 | 2 0 1 |
| 26.12 | 47.1 | 2 0 -3 |
| 30.31 | 25.2 | 1 1 -3 |
| 33.93 | 75.1 | 3 1 1 |
| 34.37 | 38.1 | 0 2 0 |
| 34.47 | 50.7 | 3 1 -3 |
| 35.51 | 26.1 | 0 0 4 |
| 43.05 | 24.8 | 1 1 4 |
| 43.63 | 48.0 | 2 2 -3 |
| 50.25 | 18.6 | 0 2 4 |
| 60.41 | 14.9 | 6 0 2 |